[1]
Starting from the PBE geometry in OQMD, the X-ray powder pattern of Re14W was calculated for Cu Kα.

Atomic structure:
```
Re14W
1.0
9.5179 0.0000 0.0000
0.0000 9.5179 0.0000
0.0000 0.0000 5.0126
Re W
28 2
direct
0.0355 0.3633 0.0000 Re
0.0666 0.2650 0.5000 Re
0.0959 0.0959 0.0000 Re
0.1367 0.5355 0.5000 Re
0.1841 0.8159 0.2485 Re
0.1841 0.8159 0.7515 Re
0.2350 0.5666 0.0000 Re
0.2650 0.0666 0.5000 Re
0.3159 0.3159 0.2515 Re
0.3159 0.3159 0.7485 Re
0.3633 0.0355 0.0000 Re
0.4041 0.5959 0.5000 Re
0.4334 0.7650 0.0000 Re
0.4645 0.8633 0.5000 Re
0.5355 0.1367 0.5000 Re
0.5666 0.2350 0.0000 Re
0.5959 0.4041 0.5000 Re
0.6367 0.9645 0.0000 Re
0.6841 0.6841 0.2515 Re
0.6841 0.6841 0.7485 Re
0.7350 0.9334 0.5000 Re
0.7650 0.4334 0.0000 Re
0.8159 0.1841 0.2485 Re
0.8159 0.1841 0.7515 Re
0.8633 0.4645 0.5000 Re
0.9041 0.9041 0.0000 Re
0.9334 0.7350 0.5000 Re
0.9645 0.6367 0.0000 Re
0.0000 0.0000 0.5000 W
0.5000 0.5000 0.0000 W
```

Most intense lines, 2θ = 10–80°, by angle:
- 2.506 Å, 35.83°, intensity 23
- 2.308 Å, 39.02°, intensity 96
- 2.243 Å, 40.20°, intensity 41
- 2.218 Å, 40.69°, intensity 38
- 2.160 Å, 41.83°, intensity 70
- 2.097 Å, 43.14°, intensity 100
- 2.048 Å, 44.23°, intensity 50
- 1.368 Å, 68.61°, intensity 18
- 1.354 Å, 69.44°, intensity 25
- 1.340 Å, 70.23°, intensity 23


[2]
Starting from the PBE geometry in OQMD, the X-ray powder pattern of Re13W16 was calculated for Cu Kα.

Atomic structure:
```
Re13W16
1.0
-4.8659 4.8659 4.8659
4.8659 -4.8659 4.8659
4.8659 4.8659 -4.8659
Re W
13 16
direct
0.0000 0.0000 0.0000 Re
0.0000 0.1914 0.3748 Re
0.0000 0.3748 0.1914 Re
0.1834 0.8086 0.8086 Re
0.1914 0.0000 0.3748 Re
0.1914 0.3748 0.0000 Re
0.3748 0.0000 0.1914 Re
0.3748 0.1914 0.0000 Re
0.6252 0.6252 0.8166 Re
0.6252 0.8166 0.6252 Re
0.8086 0.1834 0.8086 Re
0.8086 0.8086 0.1834 Re
0.8166 0.6252 0.6252 Re
0.0000 0.0000 0.6495 W
0.0000 0.4026 0.6855 W
0.0000 0.6495 0.0000 W
0.0000 0.6855 0.4026 W
0.2829 0.5974 0.5974 W
0.3145 0.3145 0.7171 W
0.3145 0.7171 0.3145 W
0.3505 0.3505 0.3505 W
0.4026 0.0000 0.6855 W
0.4026 0.6855 0.0000 W
0.5974 0.2829 0.5974 W
0.5974 0.5974 0.2829 W
0.6495 0.0000 0.0000 W
0.6855 0.0000 0.4026 W
0.6855 0.4026 0.0000 W
0.7171 0.3145 0.3145 W
```

Most intense lines, 2θ = 10–80°, by angle:
- 2.433 Å, 36.95°, intensity 8
- 2.294 Å, 39.28°, intensity 100
- 2.075 Å, 43.62°, intensity 29
- 1.986 Å, 45.67°, intensity 10
- 1.909 Å, 47.65°, intensity 18
- 1.405 Å, 66.57°, intensity 5
- 1.376 Å, 68.13°, intensity 10
- 1.324 Å, 71.20°, intensity 26
- 1.300 Å, 72.71°, intensity 6
- 1.236 Å, 77.18°, intensity 5